# BaSrGdSbO6
Simulated X-ray diffraction stick pattern, Cu Kα (weighted mean of Kα1 and Kα2). Input: the PBE geometry in the Materials Project.

Structural model:
a b c (Å): 8.4871 8.4931 8.4995
angles (deg): 90.00 90.00 90.00
Space group P222 (No. 16)
Inequivalent atoms, fractional coordinates:
Ba 0.0000 0.0000 0.0000 (multiplicity 1)
Ba 0.0000 0.0000 0.5000 (multiplicity 1)
Ba 0.0000 0.5000 0.0000 (multiplicity 1)
Ba 0.5000 0.5000 0.0000 (multiplicity 1)
Sr 0.0000 0.5000 0.5000 (multiplicity 1)
Sr 0.5000 0.0000 0.0000 (multiplicity 1)
Sr 0.5000 0.0000 0.5000 (multiplicity 1)
Sr 0.5000 0.5000 0.5000 (multiplicity 1)
Gd 0.2516 0.2501 0.7482 (multiplicity 4)
Sb 0.2529 0.2512 0.2541 (multiplicity 4)
O 0.0168 0.2278 0.2296 (multiplicity 4)
O 0.2203 0.2795 0.4867 (multiplicity 4)
O 0.2318 0.4855 0.2265 (multiplicity 4)
O 0.2799 0.0161 0.2819 (multiplicity 4)
O 0.2821 0.2226 0.0179 (multiplicity 4)
O 0.4861 0.2781 0.2846 (multiplicity 4)

Main lines, by angle (5° ≤ 2θ ≤ 70°):
hkl  2θ (°)  I/Imax
1 1 0  14.8  1
0 2 0  20.9  4
0 2 1  23.4  1
2 0 2  29.8  100
1 1 3  35.0  1
2 1 3  39.7  1
0 4 0  42.6  29
4 0 2  47.9  2
4 2 2  52.8  42
4 4 0  61.8  17

# Ba2Gd2Si4O13
Simulated X-ray diffraction stick pattern, Cu Kα (weighted mean of Kα1 and Kα2). Input: the PBE geometry in the Materials Project.

Structural model:
a b c (Å): 13.0572 5.2750 17.7182
angles (deg): 90.00 103.93 90.00
Space group C2/c (No. 15)
Inequivalent atoms, fractional coordinates:
Ba 0.1626 0.0039 0.3330 (multiplicity 8)
Gd 0.1148 0.0113 0.5842 (multiplicity 8)
Si 0.0622 0.4555 0.1835 (multiplicity 8)
Si 0.1186 0.4662 0.9564 (multiplicity 8)
O 0.0000 0.3557 0.2500 (multiplicity 4)
O 0.0189 0.3573 0.4001 (multiplicity 8)
O 0.0714 0.1767 0.9625 (multiplicity 8)
O 0.0809 0.2423 0.6889 (multiplicity 8)
O 0.1565 0.3990 0.5406 (multiplicity 8)
O 0.1643 0.2738 0.1930 (multiplicity 8)
O 0.2064 0.4584 0.9041 (multiplicity 8)

Main lines, by angle (5° ≤ 2θ ≤ 70°):
hkl  2θ (°)  I/Imax
1 1 0  18.2  40
0 0 4  20.7  20
2 0 -4  22.0  32
3 1 0  27.1  76
4 0 0  28.2  37
1 1 4  28.9  100
3 1 -4  30.9  66
0 2 0  34.0  32
2 2 -4  40.9  38
1 1 -8  44.4  35

# BaGd2Si3O10
Simulated X-ray diffraction stick pattern, Cu Kα (weighted mean of Kα1 and Kα2). Input: the PBE geometry in the Materials Project.

Structural model:
a b c (Å): 5.4869 12.3619 6.9953
angles (deg): 90.00 106.26 90.00
Space group P2_1/m (No. 11)
Inequivalent atoms, fractional coordinates:
Ba 0.2365 0.2500 0.4813 (multiplicity 2)
Gd 0.1620 0.5973 0.1883 (multiplicity 4)
Si 0.3042 0.5647 0.7155 (multiplicity 4)
Si 0.4143 0.2500 0.0096 (multiplicity 2)
O 0.0994 0.5553 0.8490 (multiplicity 4)
O 0.1224 0.2500 0.8660 (multiplicity 2)
O 0.1713 0.6269 0.5077 (multiplicity 4)
O 0.3798 0.7500 0.1189 (multiplicity 2)
O 0.4249 0.0527 0.6894 (multiplicity 4)
O 0.4501 0.1429 0.1578 (multiplicity 4)

Main lines, by angle (5° ≤ 2θ ≤ 70°):
hkl  2θ (°)  I/Imax
0 1 1  15.0  26
1 0 -1  18.3  23
1 1 1  25.3  50
1 3 0  27.5  100
1 1 -2  28.2  44
0 2 2  30.3  27
2 0 -1  32.9  19
0 4 2  39.6  18
2 3 0  40.7  16
1 3 3  53.6  16

# BaSrGd4O8
Simulated X-ray diffraction stick pattern, Cu Kα (weighted mean of Kα1 and Kα2). Input: the PBE geometry in the Materials Project.

Structural model:
a b c (Å): 3.5051 12.2220 10.4088
angles (deg): 90.00 90.00 90.00
Space group Pmc2_1 (No. 26)
Inequivalent atoms, fractional coordinates:
Ba 0.0000 0.1022 0.0000 (multiplicity 2)
Sr 0.5000 0.3968 0.5058 (multiplicity 2)
Gd 0.0000 0.1404 0.3315 (multiplicity 2)
Gd 0.0000 0.3632 0.8256 (multiplicity 2)
Gd 0.5000 0.1407 0.6755 (multiplicity 2)
Gd 0.5000 0.3638 0.1745 (multiplicity 2)
O 0.0000 0.0355 0.7419 (multiplicity 2)
O 0.0000 0.2709 0.6259 (multiplicity 2)
O 0.0000 0.3307 0.3262 (multiplicity 2)
O 0.0000 0.4227 0.0379 (multiplicity 2)
O 0.5000 0.0829 0.4649 (multiplicity 2)
O 0.5000 0.1745 0.1845 (multiplicity 2)
O 0.5000 0.2347 0.8712 (multiplicity 2)
O 0.5000 0.4644 0.7570 (multiplicity 2)

Main lines, by angle (5° ≤ 2θ ≤ 70°):
hkl  2θ (°)  I/Imax
0 4 0  29.2  49
0 2 3  29.6  100
1 2 1  30.6  78
1 0 2  30.8  38
1 4 2  42.9  39
1 0 4  43.3  23
0 0 6  52.7  29
1 4 4  53.1  21
1 2 5  53.3  18
2 2 3  61.2  26

# BaGd2ZnO5
Simulated X-ray diffraction stick pattern, Cu Kα (weighted mean of Kα1 and Kα2). Input: the PBE geometry in the Materials Project.

Structural model:
a b c (Å): 12.5858 5.8199 7.2350
angles (deg): 90.00 90.00 90.00
Space group Pnma (No. 62)
Inequivalent atoms, fractional coordinates:
Ba 0.1010 0.2500 0.0768 (multiplicity 4)
Gd 0.0745 0.7500 0.3983 (multiplicity 4)
Gd 0.2078 0.2500 0.6176 (multiplicity 4)
Zn 0.1496 0.7500 0.8081 (multiplicity 4)
O 0.0658 0.5036 0.6653 (multiplicity 8)
O 0.0992 0.7500 0.0710 (multiplicity 4)
O 0.2247 0.0023 0.3551 (multiplicity 8)

Main lines, by angle (5° ≤ 2θ ≤ 70°):
hkl  2θ (°)  I/Imax
3 1 1  29.0  100
1 1 2  29.9  83
0 2 0  30.7  54
4 0 1  31.0  22
4 1 0  32.4  20
3 1 2  36.2  18
0 1 3  40.5  17
4 2 1  44.2  33
3 3 1  53.6  22
4 2 3  57.6  17

# BaGd2Se4
Simulated X-ray diffraction stick pattern, Cu Kα (weighted mean of Kα1 and Kα2). Input: the PBE geometry in the Materials Project.

Structural model:
a b c (Å): 12.9331 4.2767 15.3457
angles (deg): 90.00 90.00 90.00
Space group Pnma (No. 62)
Inequivalent atoms, fractional coordinates:
Ba 0.2437 0.2500 0.1630 (multiplicity 4)
Gd 0.0672 0.2500 0.3899 (multiplicity 4)
Gd 0.0802 0.2500 0.9001 (multiplicity 4)
Se 0.0240 0.7500 0.7839 (multiplicity 4)
Se 0.0820 0.2500 0.5775 (multiplicity 4)
Se 0.1271 0.7500 0.0249 (multiplicity 4)
Se 0.2069 0.7500 0.3311 (multiplicity 4)

Main lines, by angle (5° ≤ 2θ ≤ 70°):
hkl  2θ (°)  I/Imax
0 0 4  23.2  45
3 0 2  23.7  84
1 1 2  24.8  51
1 1 3  28.1  80
4 0 2  30.0  100
2 1 4  34.3  94
4 1 0  34.8  51
2 0 6  37.8  43
4 1 4  42.2  51
0 2 0  42.3  62

# BaGd2Te4
Simulated X-ray diffraction stick pattern, Cu Kα (weighted mean of Kα1 and Kα2). Input: the PBE geometry in the Materials Project.

Structural model:
a b c (Å): 13.8883 4.5320 16.4097
angles (deg): 90.00 90.00 90.00
Space group Pnma (No. 62)
Inequivalent atoms, fractional coordinates:
Ba 0.2402 0.2500 0.1682 (multiplicity 4)
Gd 0.0618 0.2500 0.3905 (multiplicity 4)
Gd 0.0806 0.2500 0.9030 (multiplicity 4)
Te 0.0256 0.7500 0.7839 (multiplicity 4)
Te 0.0887 0.2500 0.5777 (multiplicity 4)
Te 0.1287 0.7500 0.0279 (multiplicity 4)
Te 0.2059 0.7500 0.3349 (multiplicity 4)

Main lines, by angle (5° ≤ 2θ ≤ 70°):
hkl  2θ (°)  I/Imax
0 1 3  25.5  41
1 1 3  26.3  100
4 0 2  27.9  65
3 1 1  28.1  57
2 1 4  32.1  71
4 1 0  32.5  38
2 0 6  35.3  39
4 1 4  39.4  39
0 2 0  39.8  58
2 1 6  40.7  43

# Ba2Ge3
Simulated X-ray diffraction stick pattern, Cu Kα (weighted mean of Kα1 and Kα2). Input: the PBE geometry in the Materials Project.

Structural model:
a b c (Å): 4.2679 9.4049 8.2498
angles (deg): 90.00 90.00 90.00
Space group Imm2 (No. 44)
Inequivalent atoms, fractional coordinates:
Ba 0.0000 0.2329 0.0000 (multiplicity 4)
Ge 0.0000 0.0000 0.3684 (multiplicity 2)
Ge 0.0000 0.0000 0.6668 (multiplicity 2)
Ge 0.0000 0.5000 0.7008 (multiplicity 2)

Main lines, by angle (5° ≤ 2θ ≤ 70°):
hkl  2θ (°)  I/Imax
1 0 1  23.5  20
0 2 2  28.8  53
1 2 1  30.3  100
0 4 0  38.3  20
1 0 3  39.0  39
2 0 0  42.4  17
0 2 4  48.2  13
2 2 2  52.0  20
1 4 3  55.8  24
2 4 0  58.4  12

# Ba3Ge5
Simulated X-ray diffraction stick pattern, Cu Kα (weighted mean of Kα1 and Kα2). Input: the PBE geometry in the Materials Project.

Structural model:
a b c (Å): 10.4020 8.6764 10.4759
angles (deg): 90.00 90.00 90.00
Space group Cmcm (No. 63)
Inequivalent atoms, fractional coordinates:
Ba 0.0000 0.1524 0.2500 (multiplicity 4)
Ba 0.2101 0.5000 0.0000 (multiplicity 8)
Ge 0.0000 0.2021 0.5711 (multiplicity 8)
Ge 0.0000 0.4323 0.7500 (multiplicity 4)
Ge 0.1793 0.2163 0.7500 (multiplicity 8)

Main lines, by angle (5° ≤ 2θ ≤ 70°):
hkl  2θ (°)  I/Imax
2 0 2  24.1  39
0 2 2  26.7  83
2 2 1  28.1  29
2 2 2  31.8  100
1 3 0  32.1  42
3 1 2  32.6  31
0 0 4  34.2  44
2 2 3  37.3  37
3 1 3  38.0  50
5 3 0  54.3  33